Computed powder XRD pattern
Compound: PaGe6Mo5
Radiation: copper Kα
Structure: a PBE-relaxed structure
Peak positions follow from Bragg's law for the DFT cell and can differ from measured ones.

Crystal structure
Cell lengths 4.502, 6.444, 7.384 Å; angles 82.13, 72.53, 89.94 degrees
Positions (direct):
1 Pa 0.000 0.000 0.000
2 Ge 0.170 0.709 0.657
3 Ge 0.181 0.270 0.638
4 Ge 0.476 0.281 0.048
5 Ge 0.524 0.719 0.952
6 Ge 0.819 0.730 0.362
7 Ge 0.830 0.291 0.343
8 Mo 0.000 0.500 0.000
9 Mo 0.313 0.014 0.383
10 Mo 0.339 0.534 0.321
11 Mo 0.661 0.466 0.679
12 Mo 0.687 0.986 0.617

The 6 most intense peaks (15 to 90 degrees two-theta), sorted by position:
hkl -1 2 1, 2θ = 37.59°, 2.393 Å, rel. 100
hkl 0 0 3, 2θ = 38.75°, 2.324 Å, rel. 43
hkl 2 0 1, 2θ = 40.06°, 2.251 Å, rel. 53
hkl 1 2 -1, 2θ = 41.64°, 2.169 Å, rel. 42
hkl 1 -2 2, 2θ = 41.79°, 2.161 Å, rel. 41
hkl 2 0 -2, 2θ = 56.79°, 1.621 Å, rel. 14